This entry pairs a crystal structure of Li7Mn2Co3O12 with its simulated PXRD pattern. Radiation: λ = 1.5418 Å (Cu Kα). Structure: a crystal structure in the Materials Project, relaxed with GGA+U.

Principal peaks in the range 2θ from 15° to 90°, by intensity:
two_theta  I_rel
18.38  1000
43.05  616
35.66  296
44.80  258
63.53  150
64.21  145
36.76  111
56.84  98
62.65  85
62.37  82

Crystal structure
```
Li7Mn2Co3O12
1.0
4.928 -1.483 0.000
4.928 1.483 0.000
-3.014 0.000 14.669
Li Mn Co O
7 2 3 12
Direct
0.000 0.000 0.000
0.005 0.005 0.353
0.007 0.007 0.682
0.247 0.247 0.926
0.500 0.500 0.179
0.501 0.501 0.516
0.508 0.508 0.846
0.257 0.257 0.266
0.750 0.750 0.090
0.255 0.255 0.599
0.753 0.753 0.432
0.755 0.755 0.769
0.138 0.138 0.477
0.141 0.141 0.800
0.144 0.144 0.140
0.359 0.359 0.060
0.368 0.368 0.716
0.369 0.369 0.385
0.629 0.629 0.982
0.641 0.641 0.306
0.642 0.642 0.645
0.867 0.867 0.552
0.868 0.868 0.219
0.871 0.871 0.874
```



This entry pairs a crystal structure of Li2MnCoO4 with its simulated PXRD pattern. Radiation: λ = 1.5418 Å (Cu Kα). Structure: a crystal structure in the Materials Project, relaxed with GGA+U.

Principal peaks in the range 2θ from 15° to 90°, by intensity:
two_theta  I_rel
18.20  1000
44.33  481
40.47  328
36.41  243
33.72  202
61.39  156
61.77  151
46.87  111
58.29  92
37.41  89

Crystal structure
```
Li2MnCoO4
1.0
5.313 -2.854 0.000
5.313 2.854 0.000
-2.128 0.000 4.910
Li Mn Co O
4 2 2 8
Direct
0.247 0.247 0.492
0.501 0.001 0.996
0.753 0.753 0.508
0.999 0.499 0.004
0.500 0.500 0.000
0.751 0.249 0.500
0.249 0.751 0.500
0.999 0.001 0.000
0.115 0.119 0.734
0.138 0.645 0.765
0.355 0.862 0.235
0.384 0.379 0.273
0.621 0.616 0.727
0.639 0.134 0.774
0.866 0.361 0.226
0.881 0.885 0.266
```



This entry pairs a crystal structure of Li4MnCo2O7 with its simulated PXRD pattern. Radiation: λ = 1.5418 Å (Cu Kα). Structure: a crystal structure in the Materials Project, relaxed with GGA+U.

Principal peaks in the range 2θ from 15° to 90°, by intensity:
two_theta  I_rel
18.38  1000
41.88  330
44.00  278
44.76  258
34.83  171
62.96  155
36.27  129
36.71  119
62.30  84
62.43  83

Crystal structure
```
Li4MnCo2O7
1.0
2.979 0.000 0.000
-1.201 9.669 0.000
-0.459 -4.377 8.738
Li Mn Co O
8 2 4 14
Direct
0.000 0.000 0.000
0.039 0.131 0.795
0.195 0.414 0.357
0.331 0.711 0.936
0.496 0.997 0.497
0.615 0.266 0.069
0.768 0.562 0.643
0.919 0.851 0.217
0.406 0.853 0.726
0.825 0.701 0.427
0.127 0.276 0.572
0.270 0.561 0.141
0.552 0.127 0.276
0.701 0.420 0.859
0.114 0.200 0.190
0.181 0.362 0.967
0.225 0.480 0.747
0.263 0.642 0.540
0.394 0.765 0.318
0.455 0.939 0.129
0.514 0.050 0.882
0.604 0.217 0.682
0.645 0.327 0.456
0.705 0.498 0.246
0.834 0.626 0.034
0.887 0.787 0.813
0.913 0.904 0.615
0.993 0.074 0.398
```



This entry pairs a crystal structure of LiMn2Co2O8 with its simulated PXRD pattern. Radiation: λ = 1.5418 Å (Cu Kα). Structure: a crystal structure in the Materials Project, relaxed with GGA+U.

Principal peaks in the range 2θ from 15° to 90°, by intensity:
two_theta  I_rel
18.99  1000
18.62  521
18.49  499
43.81  367
44.34  359
44.60  346
36.73  191
64.50  181
36.42  121
38.52  115

Crystal structure
```
LiMn2Co2O8
1.0
5.714 0.000 0.000
2.822 5.009 0.000
2.824 -1.550 4.798
Li Mn Co O
1 2 2 8
Direct
0.000 0.000 0.000
0.000 0.500 0.500
0.500 0.000 0.500
0.000 0.500 0.000
0.500 0.500 0.500
0.036 0.247 0.725
0.039 0.703 0.734
0.474 0.267 0.290
0.480 0.265 0.724
0.520 0.735 0.276
0.526 0.733 0.710
0.961 0.297 0.266
0.964 0.753 0.275
```



This entry pairs a crystal structure of Li7Mn4CoO12 with its simulated PXRD pattern. Radiation: λ = 1.5418 Å (Cu Kα). Structure: a crystal structure in the Materials Project, relaxed with GGA+U.

Principal peaks in the range 2θ from 15° to 90°, by intensity:
two_theta  I_rel
18.36  1000
42.76  305
43.66  288
43.86  286
36.02  250
62.87  157
35.35  139
63.90  78
62.96  77
62.67  77

Crystal structure
```
Li7Mn4CoO12
1.0
5.111 0.000 0.000
-1.686 5.578 0.000
-0.746 -1.735 7.618
Li Mn Co O
7 4 1 12
Direct
0.000 0.000 0.000
0.001 0.658 0.645
0.005 0.325 0.313
0.006 0.162 0.645
0.497 0.409 0.158
0.979 0.488 0.997
0.995 0.823 0.319
0.493 0.574 0.820
0.495 0.912 0.157
0.496 0.079 0.821
0.507 0.742 0.485
0.496 0.243 0.473
0.258 0.104 0.233
0.265 0.785 0.887
0.267 0.285 0.885
0.276 0.477 0.581
0.276 0.640 0.258
0.290 0.957 0.584
0.708 0.699 0.049
0.713 0.858 0.733
0.717 0.180 0.052
0.719 0.366 0.750
0.736 0.548 0.414
0.748 0.014 0.414
```



This entry pairs a crystal structure of Li4MnCo3O8 with its simulated PXRD pattern. Radiation: λ = 1.5418 Å (Cu Kα). Structure: a crystal structure in the Materials Project, relaxed with GGA+U.

Principal peaks in the range 2θ from 15° to 90°, by intensity:
two_theta  I_rel
18.30  1000
43.57  510
35.91  283
43.16  264
35.75  147
62.66  142
63.34  141
47.37  102
37.42  97
57.46  93

Crystal structure
```
Li4MnCo3O8
1.0
5.090 -2.933 0.000
5.090 2.933 0.000
-1.752 0.000 4.848
Li Mn Co O
4 1 3 8
Direct
0.249 0.249 0.002
0.250 0.750 0.000
0.750 0.250 0.000
0.751 0.751 0.998
0.500 0.500 0.500
0.000 0.000 0.500
0.000 0.500 0.500
0.500 0.000 0.500
0.135 0.135 0.271
0.146 0.615 0.270
0.380 0.380 0.725
0.385 0.854 0.730
0.615 0.146 0.270
0.620 0.620 0.275
0.854 0.385 0.730
0.865 0.865 0.729
```



This entry pairs a crystal structure of Li4MnCo2O7 with its simulated PXRD pattern. Radiation: λ = 1.5418 Å (Cu Kα). Structure: a crystal structure in the Materials Project, relaxed with GGA+U.

Principal peaks in the range 2θ from 15° to 90°, by intensity:
two_theta  I_rel
18.33  1000
41.82  326
44.22  268
44.32  259
62.59  240
36.40  238
34.78  179
64.94  89
62.35  78
37.21  78

Crystal structure
```
Li4MnCo2O7
1.0
2.971 0.000 0.000
0.115 5.083 0.000
0.668 0.312 16.766
Li Mn Co O
8 2 4 14
Direct
0.000 0.000 0.000
0.047 0.334 0.864
0.203 0.056 0.571
0.345 0.772 0.286
0.475 0.466 0.002
0.631 0.203 0.714
0.774 0.914 0.429
0.922 0.630 0.144
0.554 0.853 0.864
0.700 0.549 0.571
0.118 0.692 0.717
0.272 0.410 0.426
0.426 0.124 0.139
0.841 0.268 0.286
0.044 0.687 0.922
0.068 0.996 0.795
0.126 0.383 0.644
0.271 0.108 0.358
0.275 0.715 0.498
0.409 0.412 0.215
0.446 0.840 0.083
0.531 0.146 0.925
0.575 0.549 0.785
0.669 0.853 0.647
0.748 0.252 0.499
0.795 0.567 0.355
0.856 0.977 0.216
0.983 0.300 0.079
```



This entry pairs a crystal structure of Li4MnCo2O7 with its simulated PXRD pattern. Radiation: λ = 1.5418 Å (Cu Kα). Structure: a crystal structure in the Materials Project, relaxed with GGA+U.

Principal peaks in the range 2θ from 15° to 90°, by intensity:
two_theta  I_rel
18.30  1000
43.71  556
43.05  265
36.08  258
35.61  151
62.78  144
63.27  130
57.56  94
47.51  86
63.96  77

Crystal structure
```
Li4MnCo2O7
1.0
7.641 -1.456 0.000
7.641 1.456 0.000
-6.179 0.000 11.344
Li Mn Co O
8 2 4 14
Direct
0.000 0.000 0.000
0.073 0.073 0.348
0.213 0.213 0.070
0.372 0.372 0.805
0.500 0.500 0.500
0.628 0.628 0.195
0.787 0.787 0.930
0.927 0.927 0.652
0.141 0.141 0.716
0.859 0.859 0.284
0.284 0.284 0.428
0.431 0.431 0.126
0.569 0.569 0.874
0.716 0.716 0.572
0.032 0.032 0.180
0.116 0.116 0.548
0.168 0.168 0.874
0.264 0.264 0.256
0.313 0.313 0.600
0.390 0.390 0.971
0.454 0.454 0.321
0.546 0.546 0.679
0.610 0.610 0.029
0.687 0.687 0.400
0.736 0.736 0.744
0.832 0.832 0.126
0.884 0.884 0.452
0.968 0.968 0.820
```



This entry pairs a crystal structure of LiMnCo3O8 with its simulated PXRD pattern. Radiation: λ = 1.5418 Å (Cu Kα). Structure: a crystal structure in the Materials Project, relaxed with GGA+U.

Principal peaks in the range 2θ from 15° to 90°, by intensity:
two_theta  I_rel
17.62  1000
43.77  278
36.96  173
44.24  136
37.14  91
65.72  73
56.45  50
56.60  49
38.55  46
57.19  46

Crystal structure
```
LiMnCo3O8
1.0
5.680 0.000 0.000
2.792 5.310 0.000
0.018 3.129 9.333
Li Mn Co O
2 2 6 16
Direct
0.000 0.000 0.000
0.496 0.014 0.477
0.247 0.509 0.738
0.746 0.504 0.243
0.246 0.506 0.240
0.495 0.510 0.490
0.496 0.506 0.990
0.747 0.509 0.739
0.997 0.507 0.990
0.997 0.510 0.489
0.089 0.312 0.858
0.095 0.310 0.361
0.150 0.694 0.375
0.150 0.704 0.877
0.338 0.319 0.102
0.339 0.314 0.605
0.397 0.702 0.119
0.405 0.706 0.624
0.589 0.310 0.359
0.597 0.312 0.857
0.653 0.705 0.374
0.655 0.694 0.876
0.838 0.327 0.607
0.844 0.308 0.103
0.895 0.706 0.622
0.903 0.701 0.119
```



This entry pairs a crystal structure of Li7Mn2Co3O12 with its simulated PXRD pattern. Radiation: λ = 1.5418 Å (Cu Kα). Structure: a crystal structure in the Materials Project, relaxed with GGA+U.

Principal peaks in the range 2θ from 15° to 90°, by intensity:
two_theta  I_rel
18.35  1000
43.53  558
44.23  272
36.03  253
63.28  146
64.30  145
36.54  130
47.83  120
57.34  96
63.00  76

Crystal structure
```
Li7Mn2Co3O12
1.0
5.000 0.000 0.000
0.000 8.790 0.000
-1.615 0.000 4.836
Li Mn Co O
7 2 3 12
Direct
0.000 0.000 0.000
0.000 0.147 0.500
0.000 0.503 0.500
0.000 0.845 0.500
0.500 0.323 0.500
0.500 0.671 0.500
0.500 0.995 0.500
0.000 0.324 0.000
0.500 0.498 0.000
0.000 0.679 0.000
0.500 0.164 0.000
0.500 0.844 0.000
0.245 0.177 0.221
0.246 0.490 0.218
0.250 0.820 0.236
0.259 0.333 0.783
0.266 0.652 0.771
0.280 0.007 0.771
0.720 0.007 0.229
0.734 0.652 0.229
0.741 0.333 0.217
0.750 0.820 0.764
0.754 0.490 0.782
0.755 0.177 0.779
```